[1]
Calculated XRD peak list of ZnH4Br2O2 for Cu Kα (weighted mean of Kα1 and Kα2), from DFT lattice parameters and positions (PBE).
Neutral-atom scattering factors, no anomalous dispersion.

Top 6 peaks for 10 to 90 degrees two-theta, low angle first:
| d/Å | I_rel |
| --- | --- |
| 6.377 | 34 |
| 4.094 | 69 |
| 4.011 | 55 |
| 3.693 | 41 |
| 3.246 | 100 |
| 2.109 | 58 |

a = 8.4486 Å, b = 8.4486 Å, c = 8.4486 Å
α = 122.16°, β = 105.75°, γ = 101.32°
Positions (direct):
Zn1 0.0000 0.0000 0.0000
Zn2 0.3444 0.8444 0.5000
Zn3 0.6556 0.1556 0.5000
H1 0.0905 0.1770 0.4126
H2 0.0905 0.6779 0.9135
H3 0.1702 0.2499 0.9203
H4 0.2356 0.3221 0.4126
H5 0.2356 0.8230 0.9135
H6 0.3295 0.2499 0.0797
H7 0.6705 0.7501 0.9203
H8 0.7644 0.1770 0.0865
H9 0.7644 0.6779 0.5874
H10 0.8298 0.7501 0.0797
H11 0.9095 0.3221 0.0865
H12 0.9095 0.8230 0.5874
Br1 0.0175 0.7066 0.3109
Br2 0.3957 0.7066 0.6891
Br3 0.5000 0.2255 0.7255
Br4 0.5000 0.7745 0.2745
Br5 0.6043 0.2934 0.3109
Br6 0.9825 0.2934 0.6891
O1 0.1529 0.1771 0.3299
O2 0.1529 0.8229 0.9758
O3 0.1983 0.1983 0.0000
O4 0.8017 0.8017 0.0000
O5 0.8471 0.1771 0.0242
O6 0.8471 0.8229 0.6701

[2]
Calculated XRD peak list of PH4Br for Cu Kα (weighted mean of Kα1 and Kα2), from DFT lattice parameters and positions (PBE).
Neutral-atom scattering factors, no anomalous dispersion.

Top 6 peaks for 10 to 90 degrees two-theta, low angle first:
| d/Å | I_rel |
| --- | --- |
| 4.307 | 26 |
| 3.550 | 28 |
| 3.067 | 100 |
| 3.046 | 64 |
| 2.154 | 21 |
| 1.763 | 36 |

a = 6.0913 Å, b = 6.0913 Å, c = 4.3692 Å
α = 90.00°, β = 90.00°, γ = 90.00°
Positions (direct):
P1 0.2500 0.7500 0.0000
P2 0.7500 0.2500 0.0000
H1 0.0612 0.7500 0.1899
H2 0.2500 0.5612 0.8101
H3 0.2500 0.9388 0.8101
H4 0.4388 0.7500 0.1899
H5 0.5612 0.2500 0.8101
H6 0.7500 0.0612 0.1899
H7 0.7500 0.4388 0.1899
H8 0.9388 0.2500 0.8101
Br1 0.2500 0.2500 0.4052
Br2 0.7500 0.7500 0.5948

[3]
Calculated XRD peak list of SrHBr for Cu Kα (weighted mean of Kα1 and Kα2), from DFT lattice parameters and positions (PBE).
Neutral-atom scattering factors, no anomalous dispersion.

Top 6 peaks for 10 to 90 degrees two-theta, low angle first:
| d/Å | I_rel |
| --- | --- |
| 2.988 | 84 |
| 2.812 | 100 |
| 2.341 | 25 |
| 2.113 | 32 |
| 1.720 | 25 |
| 1.689 | 43 |

a = 4.2259 Å, b = 4.2259 Å, c = 7.5335 Å
α = 90.00°, β = 90.00°, γ = 90.00°
Positions (direct):
Sr1 0.2500 0.2500 0.1818
Sr2 0.7500 0.7500 0.8182
H1 0.2500 0.7500 0.0000
H2 0.7500 0.2500 0.0000
Br1 0.2500 0.2500 0.6585
Br2 0.7500 0.7500 0.3415